Calculated X-ray powder pattern
Compound: Rb2Ni3BiF12
Radiation: Cu Kα (λ = 1.5418 Å)
Structure: a cell relaxed with GGA+U

Main lines, by intensity (15° ≤ 2θ ≤ 90°):
2θ (°)	I_rel
28.1	100
27.9	69
29.5	58
49.2	44
24.0	36
16.8	33

Crystal structure
```
Rb2Ni3BiF12
1.0
3.703 2.138 6.145
-3.703 2.138 6.145
0.000 -4.276 6.145
Rb Ni Bi F
2 3 1 12
direct
0.110 0.110 0.110
0.890 0.890 0.890
0.000 0.500 0.500
0.500 0.000 0.500
0.500 0.500 0.000
0.500 0.500 0.500
0.129 0.601 0.601
0.200 0.200 0.591
0.200 0.591 0.200
0.399 0.399 0.871
0.399 0.871 0.399
0.409 0.800 0.800
0.591 0.200 0.200
0.601 0.129 0.601
0.601 0.601 0.129
0.800 0.409 0.800
0.800 0.800 0.409
0.871 0.399 0.399
```